Entry 1:
Structure and calculated powder diffraction line list of CaAcPm14 (the PBE geometry in Alexandria; Cu Kα X-rays).
Kinematic intensities with the Lorentz-polarization factor, no thermal factor.

Structure:
Cell: 11.8729 7.4579 7.4579 Å, 59.85 90.00 90.00°
Element x y z (fractional)
Ca  0.0000  0.0000  0.0000
Ac  0.0000  0.4977  0.4977
Pm  0.0000  0.0029  0.4966
Pm  0.0000  0.4966  0.0029
Pm  0.2521  0.3317  0.3317
Pm  0.2520  0.8304  0.8304
Pm  0.2551  0.3370  0.8329
Pm  0.2551  0.8329  0.3370
Pm  0.5000  0.5001  0.5001
Pm  0.5000  0.4995  0.9994
Pm  0.5000  0.9994  0.4995
Pm  0.5000  0.9993  0.9993
Pm  0.7449  0.3370  0.8329
Pm  0.7449  0.8329  0.3370
Pm  0.7479  0.3317  0.3317
Pm  0.7480  0.8304  0.8304

Top 10 peaks for 10° ≤ 2θ ≤ 80°, low angle first:
- 2θ 27.6, 3.227 Å, intensity 235
- 2θ 30.1, 2.968 Å, intensity 251
- 2θ 31.6, 2.835 Å, intensity 1000
- 2θ 41.3, 2.185 Å, intensity 159
- 2θ 48.8, 1.864 Å, intensity 131
- 2θ 49.0, 1.860 Å, intensity 65
- 2θ 54.4, 1.687 Å, intensity 213
- 2θ 58.5, 1.579 Å, intensity 153
- 2θ 58.6, 1.576 Å, intensity 76
- 2θ 59.4, 1.556 Å, intensity 110

Entry 2:
Structure and calculated powder diffraction line list of Ac2ZnSiAu6 (the PBE geometry in Alexandria; Cu Kα X-rays).
Kinematic intensities with the Lorentz-polarization factor, no thermal factor.

Structure:
Cell: 6.9780 6.9780 6.9780 Å, 60.00 60.00 60.00°
Element x y z (fractional)
Ac  0.2500  0.2500  0.2500
Ac  0.7500  0.7500  0.7500
Zn  0.0000  0.0000  0.0000
Si  0.5000  0.5000  0.5000
Au  0.2539  0.2539  0.7461
Au  0.2539  0.7461  0.2539
Au  0.2539  0.7461  0.7461
Au  0.7461  0.2539  0.2539
Au  0.7461  0.2539  0.7461
Au  0.7461  0.7461  0.2539

Top 10 peaks for 10° ≤ 2θ ≤ 80°, low angle first:
- 2θ 25.5, 3.489 Å, intensity 24
- 2θ 31.4, 2.849 Å, intensity 1000
- 2θ 36.4, 2.467 Å, intensity 652
- 2θ 39.8, 2.264 Å, intensity 6
- 2θ 45.0, 2.014 Å, intensity 10
- 2θ 52.5, 1.744 Å, intensity 464
- 2θ 62.4, 1.488 Å, intensity 436
- 2θ 65.5, 1.424 Å, intensity 159
- 2θ 71.5, 1.319 Å, intensity 5
- 2θ 77.4, 1.234 Å, intensity 75